(1)
Structure and simulated XRD peak list of Ti2Mn3Co3O16 (a cell relaxed with PBE+U; Cu Kα).

```
data_Ti2Mn3Co3O16
_symmetry_space_group_name_H-M 'P 1'
_symmetry_Int_Tables_number 1
_symmetry_space_group_name_Hall 'P 1'
_cell_length_a 5.677
_cell_length_b 5.677
_cell_length_c 9.026
_cell_angle_alpha 90.70
_cell_angle_beta 90.70
_cell_angle_gamma 60.24
loop_
_atom_site_label
_atom_site_type_symbol
_atom_site_fract_x
_atom_site_fract_y
_atom_site_fract_z
_atom_site_occupancy
Ti1 Ti 0.000 0.000 0.000 1
Ti2 Ti 0.668 0.668 0.502 1
Mn1 Mn 0.168 0.168 0.718 1
Mn2 Mn 0.503 0.999 0.219 1
Mn3 Mn 0.999 0.503 0.219 1
Co1 Co 0.168 0.672 0.717 1
Co2 Co 0.503 0.503 0.217 1
Co3 Co 0.672 0.168 0.717 1
O1 O 0.000 0.000 0.609 1
O2 O 0.002 0.504 0.605 1
O3 O 0.168 0.168 0.103 1
O4 O 0.173 0.665 0.106 1
O5 O 0.297 0.851 0.838 1
O6 O 0.336 0.336 0.323 1
O7 O 0.337 0.337 0.822 1
O8 O 0.372 0.811 0.337 1
O9 O 0.497 0.497 0.610 1
O10 O 0.504 0.002 0.605 1
O11 O 0.665 0.173 0.106 1
O12 O 0.668 0.668 0.108 1
O13 O 0.811 0.372 0.337 1
O14 O 0.817 0.817 0.342 1
O15 O 0.851 0.297 0.838 1
O16 O 0.855 0.855 0.833 1
```

Top 10 peaks for 15 to 90 degrees two-theta, by angle:
d (Å), 2theta, intensity
4.512, 19.67, 1000
4.339, 20.47, 573
4.313, 20.60, 334
2.578, 34.80, 165
2.380, 37.80, 317
2.373, 37.92, 207
2.169, 41.63, 251
1.914, 47.51, 339
1.900, 47.88, 221
1.419, 65.81, 269

(2)
Structure and simulated XRD peak list of Cr2Ir2O5 (a cell relaxed with PBE+U; Cu Kα).

```
data_Cr2Ir2O5
_symmetry_space_group_name_H-M 'P 1'
_symmetry_Int_Tables_number 1
_symmetry_space_group_name_Hall 'P 1'
_cell_length_a 3.424
_cell_length_b 3.424
_cell_length_c 8.821
_cell_angle_alpha 90.00
_cell_angle_beta 90.00
_cell_angle_gamma 90.00
loop_
_atom_site_label
_atom_site_type_symbol
_atom_site_fract_x
_atom_site_fract_y
_atom_site_fract_z
_atom_site_occupancy
Cr1 Cr 0.000 0.000 0.227 1
Cr2 Cr 0.000 0.000 0.773 1
Ir1 Ir 0.500 0.500 0.000 1
Ir2 Ir 0.500 0.500 0.500 1
O1 O 0.000 0.000 0.000 1
O2 O 0.000 0.500 0.363 1
O3 O 0.000 0.500 0.637 1
O4 O 0.500 0.000 0.363 1
O5 O 0.500 0.000 0.637 1
```

Top 10 peaks for 15 to 90 degrees two-theta, by angle:
d (Å), 2theta, intensity
4.411, 20.13, 304
3.424, 26.02, 264
2.705, 33.12, 1000
2.421, 37.13, 324
2.122, 42.60, 213
1.854, 49.14, 120
1.712, 53.52, 182
1.630, 56.44, 286
1.447, 64.40, 292
1.352, 69.55, 201

(3)
Structure and simulated XRD peak list of MnGaO3 (a cell relaxed with PBE+U; Cu Kα).

```
data_MnGaO3
_symmetry_space_group_name_H-M 'P 1'
_symmetry_Int_Tables_number 1
_symmetry_space_group_name_Hall 'P 1'
_cell_length_a 3.271
_cell_length_b 3.271
_cell_length_c 11.837
_cell_angle_alpha 90.00
_cell_angle_beta 90.00
_cell_angle_gamma 120.00
loop_
_atom_site_label
_atom_site_type_symbol
_atom_site_fract_x
_atom_site_fract_y
_atom_site_fract_z
_atom_site_occupancy
Mn1 Mn 0.000 0.000 0.000 1
Mn2 Mn 0.000 0.000 0.500 1
Ga1 Ga 0.333 0.667 0.250 1
Ga2 Ga 0.667 0.333 0.750 1
O1 O 0.000 0.000 0.250 1
O2 O 0.000 0.000 0.750 1
O3 O 0.333 0.667 0.080 1
O4 O 0.333 0.667 0.420 1
O5 O 0.667 0.333 0.580 1
O6 O 0.667 0.333 0.920 1
```

Top 10 peaks for 15 to 90 degrees two-theta, by angle:
d (Å), 2theta, intensity
2.959, 30.20, 589
2.755, 32.50, 1000
2.555, 35.12, 605
2.301, 39.15, 127
1.817, 50.22, 293
1.636, 56.25, 476
1.619, 56.87, 263
1.452, 64.14, 114
1.431, 65.17, 347
1.097, 89.27, 131

(4)
Structure and simulated XRD peak list of BaSr4Fe5O15 (a cell relaxed with PBE+U; Cu Kα).

```
data_BaSr4Fe5O15
_symmetry_space_group_name_H-M 'P 1'
_symmetry_Int_Tables_number 1
_symmetry_space_group_name_Hall 'P 1'
_cell_length_a 5.571
_cell_length_b 5.571
_cell_length_c 20.227
_cell_angle_alpha 97.90
_cell_angle_beta 97.90
_cell_angle_gamma 89.99
loop_
_atom_site_label
_atom_site_type_symbol
_atom_site_fract_x
_atom_site_fract_y
_atom_site_fract_z
_atom_site_occupancy
Ba1 Ba 0.250 0.750 0.000 1
Ba2 Ba 0.750 0.250 0.000 1
Sr1 Sr 0.050 0.549 0.599 1
Sr2 Sr 0.149 0.648 0.797 1
Sr3 Sr 0.351 0.851 0.203 1
Sr4 Sr 0.450 0.950 0.401 1
Sr5 Sr 0.549 0.050 0.599 1
Sr6 Sr 0.648 0.149 0.797 1
Sr7 Sr 0.851 0.351 0.203 1
Sr8 Sr 0.950 0.450 0.401 1
Fe1 Fe 0.000 0.000 0.500 1
Fe2 Fe 0.099 0.099 0.697 1
Fe3 Fe 0.199 0.199 0.897 1
Fe4 Fe 0.301 0.301 0.103 1
Fe5 Fe 0.401 0.401 0.302 1
Fe6 Fe 0.500 0.500 0.500 1
Fe7 Fe 0.599 0.599 0.698 1
Fe8 Fe 0.698 0.698 0.895 1
Fe9 Fe 0.802 0.802 0.104 1
Fe10 Fe 0.901 0.901 0.302 1
O1 O 0.051 0.051 0.600 1
O2 O 0.052 0.052 0.107 1
O3 O 0.052 0.554 0.106 1
O4 O 0.147 0.147 0.793 1
O5 O 0.151 0.651 0.302 1
O6 O 0.152 0.152 0.302 1
O7 O 0.251 0.251 0.002 1
O8 O 0.251 0.251 0.500 1
O9 O 0.251 0.750 0.501 1
O10 O 0.344 0.344 0.697 1
O11 O 0.345 0.852 0.697 1
O12 O 0.353 0.353 0.203 1
O13 O 0.447 0.447 0.894 1
O14 O 0.447 0.947 0.894 1
O15 O 0.450 0.450 0.401 1
O16 O 0.549 0.549 0.599 1
O17 O 0.554 0.052 0.106 1
O18 O 0.555 0.555 0.106 1
O19 O 0.646 0.646 0.794 1
O20 O 0.651 0.151 0.302 1
O21 O 0.651 0.651 0.303 1
O22 O 0.749 0.749 0.501 1
O23 O 0.750 0.251 0.501 1
O24 O 0.752 0.752 0.004 1
O25 O 0.850 0.850 0.202 1
O26 O 0.852 0.345 0.697 1
O27 O 0.852 0.852 0.697 1
O28 O 0.947 0.447 0.894 1
O29 O 0.947 0.947 0.894 1
O30 O 0.950 0.950 0.401 1
```

Top 10 peaks for 15 to 90 degrees two-theta, by angle:
d (Å), 2theta, intensity
2.796, 32.02, 1000
2.785, 32.14, 497
2.280, 39.53, 214
1.984, 45.73, 186
1.970, 46.09, 372
1.616, 56.99, 191
1.610, 57.22, 376
1.398, 66.94, 212
1.393, 67.22, 107
1.246, 76.44, 161

(5)
Structure and simulated XRD peak list of Li3MnP2O9 (a cell relaxed with PBE+U; Cu Kα).

```
data_Li3MnP2O9
_symmetry_space_group_name_H-M 'P 1'
_symmetry_Int_Tables_number 1
_symmetry_space_group_name_Hall 'P 1'
_cell_length_a 6.866
_cell_length_b 7.121
_cell_length_c 7.899
_cell_angle_alpha 89.55
_cell_angle_beta 64.32
_cell_angle_gamma 87.81
loop_
_atom_site_label
_atom_site_type_symbol
_atom_site_fract_x
_atom_site_fract_y
_atom_site_fract_z
_atom_site_occupancy
Li1 Li 0.000 0.000 0.000 1
Li2 Li 0.088 0.266 0.287 1
Li3 Li 0.230 0.527 0.585 1
Li4 Li 0.472 0.465 0.064 1
Li5 Li 0.688 0.068 0.525 1
Li6 Li 0.848 0.770 0.792 1
Mn1 Mn 0.088 0.768 0.287 1
Mn2 Mn 0.584 0.764 0.295 1
P1 P 0.197 0.055 0.542 1
P2 P 0.474 0.005 0.998 1
P3 P 0.706 0.527 0.587 1
P4 P 0.965 0.476 0.042 1
O1 O 0.045 0.571 0.851 1
O2 O 0.080 0.002 0.415 1
O3 O 0.082 0.963 0.733 1
O4 O 0.096 0.537 0.155 1
O5 O 0.198 0.269 0.539 1
O6 O 0.264 0.890 0.051 1
O7 O 0.325 0.667 0.318 1
O8 O 0.411 0.199 0.091 1
O9 O 0.441 0.984 0.450 1
O10 O 0.538 0.623 0.524 1
O11 O 0.599 0.002 0.785 1
O12 O 0.602 0.528 0.801 1
O13 O 0.634 0.891 0.062 1
O14 O 0.717 0.538 0.153 1
O15 O 0.773 0.333 0.494 1
O16 O 0.843 0.865 0.267 1
O17 O 0.908 0.655 0.530 1
O18 O 0.980 0.264 0.047 1
```

Top 10 peaks for 15 to 90 degrees two-theta, by angle:
d (Å), 2theta, intensity
5.057, 17.54, 534
5.009, 17.71, 518
4.752, 18.67, 1000
4.591, 19.33, 530
3.438, 25.92, 455
3.196, 27.92, 814
3.171, 28.15, 871
3.090, 28.89, 816
3.045, 29.33, 543
1.779, 51.35, 358